Diffraction record for Sc3As2. The powder diffractogram is simulated, not measured: it uses the PBE geometry in the Materials Project and Cu Kα, 1.54184 Å.
Neutral-atom scattering factors, no anomalous dispersion.

Atomic structure:
Cell lengths 10.4553, 3.8442, 10.3322 Å; angles 90.00, 90.00, 90.00 degrees
Space group Pnma (No. 62)
One atom of each set of equivalent atoms:
Sc: 0.0486 0.2500 0.1324 [4 per cell]
Sc: 0.1279 0.7500 0.5636 [4 per cell]
Sc: 0.2231 0.2500 0.7965 [4 per cell]
As: 0.0135 0.7500 0.3209 [4 per cell]
As: 0.1869 0.7500 0.9946 [4 per cell]

Most intense lines, 15° ≤ 2θ ≤ 90°, in order of rising 2θ:
d (Å), 2theta, I (rel.), hkl
3.675, 24.22, 59, 2 0 2
2.958, 30.21, 81, 1 1 2
2.656, 33.74, 85, 2 1 2
2.565, 34.98, 68, 0 1 3
2.506, 35.84, 69, 3 1 1
2.491, 36.05, 100, 1 1 3
2.310, 39.00, 88, 3 1 2
1.922, 47.29, 88, 0 2 0